Entry 1:
For LiSm4Ga, a crystal structure in Alexandria, relaxed with GGA-PBE gives the calculated powder X-ray diffraction pattern in this record (λ = 1.5418 Å (Cu Kα)).
Peak positions follow from Bragg's law for the DFT cell and can differ from measured ones.

Structure:
a = 3.6765 Å, b = 35.7263 Å, c = 5.3340 Å
α = 90.00°, β = 90.00°, γ = 90.00°
Space group Cmc2_1 (No. 36)
One atom of each set of equivalent atoms:
Li 0.0000 0.0152 0.0000 x4
Sm 0.0000 0.1007 0.0009 x4
Sm 0.0000 0.1658 0.4958 x4
Sm 0.0000 0.2370 0.0070 x4
Sm 0.0000 0.4342 0.0016 x4
Ga 0.0000 0.3308 0.4920 x4

Main lines, by angle (5° ≤ 2θ ≤ 70°):
26.02 deg, intensity 31, (0 8 1); 30.11 deg, intensity 25, (0 10 1); 32.11 deg, intensity 100, (1 5 1); 33.60 deg, intensity 48, (0 0 2); 34.45 deg, intensity 78, (1 7 1); 45.37 deg, intensity 24, (1 15 0); 57.63 deg, intensity 26, (1 15 2); 59.12 deg, intensity 31, (1 5 3)

---

Entry 2:
For Sr2EuGaCu2O7, a crystal structure in Alexandria, relaxed with GGA-PBE gives the calculated powder X-ray diffraction pattern in this record (λ = 1.5418 Å (Cu Kα)).
Peak positions follow from Bragg's law for the DFT cell and can differ from measured ones.

Structure:
a = 23.3774 Å, b = 5.5478 Å, c = 5.4297 Å
α = 90.00°, β = 90.00°, γ = 90.00°
Space group Ima2 (No. 46)
One atom of each set of equivalent atoms:
Sr 0.1522 0.0177 0.0000 x8
Eu 0.0000 0.0000 0.9974 x4
Ga 0.2500 0.5701 0.0364 x4
Cu 0.0753 0.5016 0.9967 x8
O 0.0653 0.2479 0.7481 x8
O 0.0680 0.7505 0.2467 x8
O 0.1773 0.0456 0.4705 x8
O 0.2500 0.6176 0.3871 x4

Main lines, by angle (5° ≤ 2θ ≤ 70°):
7.56 deg, intensity 37, (2 0 0); 32.27 deg, intensity 27, (0 2 0); 32.57 deg, intensity 100, (6 1 1); 32.99 deg, intensity 28, (0 0 2); 38.57 deg, intensity 23, (8 1 1); 46.82 deg, intensity 29, (0 2 2); 57.74 deg, intensity 17, (6 3 1); 58.65 deg, intensity 19, (6 1 3)